Entry 1:
Structure and computed X-ray diffraction stick pattern of Mg7Si4 (a DFT-relaxed cell (GGA-PBE, the Materials Project); Cu Ka).
Peak positions follow from Bragg's law for the DFT cell and can differ from measured ones.

Peak list (10 most intense, 15 to 90 degrees two-theta, by angle)
32.71 deg, I 48; 32.96 deg, I 46; 34.27 deg, I 100; 35.44 deg, I 93; 36.61 deg, I 51; 36.75 deg, I 85; 38.60 deg, I 55; 38.85 deg, I 51; 39.00 deg, I 46; 50.09 deg, I 79

Crystal structure
Cell: 3.6424 8.3114 15.0317 Å, 94.90 90.20 90.11°
Positions (direct):
Mg (0.0000, 0.0000, 0.0000)
Mg (0.9996, 0.2250, 0.5025)
Mg (0.0019, 0.8694, 0.5445)
Mg (0.0037, 0.4610, 0.6626)
Mg (0.0120, 0.6431, 0.8486)
Mg (0.4958, 0.2365, 0.1061)
Mg (0.4963, 0.7232, 0.0593)
Mg (0.4984, 0.9874, 0.3919)
Mg (0.5020, 0.1457, 0.6628)
Mg (0.5016, 0.5587, 0.4967)
Mg (0.5052, 0.7501, 0.6902)
Mg (0.9900, 0.4262, 0.9920)
Mg (0.9965, 0.0005, 0.2117)
Mg (0.9968, 0.5060, 0.1944)
Si (0.0003, 0.4100, 0.3648)
Si (0.0077, 0.9705, 0.7693)
Si (0.4864, 0.2083, 0.9053)
Si (0.4974, 0.7534, 0.2531)
Si (0.4987, 0.2721, 0.2909)
Si (0.5081, 0.9029, 0.8683)
Si (0.9847, 0.2826, 0.8123)
Si (0.9985, 0.7118, 0.3563)

Entry 2:
Structure and computed X-ray diffraction stick pattern of Rb2TiSi3O9 (a DFT-relaxed cell (GGA-PBE, the Materials Project); Cu Ka).
Peak positions follow from Bragg's law for the DFT cell and can differ from measured ones.

Peak list (10 most intense, 15 to 90 degrees two-theta, by angle)
25.44 deg, I 51; 30.36 deg, I 80; 30.79 deg, I 47; 31.08 deg, I 100; 40.35 deg, I 17; 48.51 deg, I 26; 52.26 deg, I 16; 54.56 deg, I 24; 61.14 deg, I 19; 61.64 deg, I 20

Crystal structure
Cell: 7.0022 7.0022 10.1043 Å, 90.00 90.00 120.00°
Positions (direct):
Rb (0.3333, 0.6667, 0.0600)
Rb (0.3333, 0.6667, 0.4400)
Rb (0.6667, 0.3333, 0.5600)
Rb (0.6667, 0.3333, 0.9400)
Ti (0.0000, 0.0000, 0.0000)
Ti (0.0000, 0.0000, 0.5000)
Si (0.1405, 0.3789, 0.7500)
Si (0.2384, 0.8595, 0.7500)
Si (0.3789, 0.2384, 0.2500)
Si (0.6211, 0.7616, 0.7500)
Si (0.7616, 0.1405, 0.2500)
Si (0.8595, 0.6211, 0.2500)
O (0.0399, 0.2475, 0.6130)
O (0.0399, 0.2475, 0.8870)
O (0.0845, 0.5856, 0.7500)
O (0.2076, 0.9601, 0.6130)
O (0.2076, 0.9601, 0.8870)
O (0.2475, 0.2076, 0.1130)
O (0.2475, 0.2076, 0.3870)
O (0.4144, 0.4988, 0.7500)
O (0.4988, 0.0845, 0.2500)
O (0.5012, 0.9155, 0.7500)
O (0.5856, 0.5012, 0.2500)
O (0.7525, 0.7924, 0.6130)
O (0.7525, 0.7924, 0.8870)
O (0.7924, 0.0399, 0.1130)
O (0.7924, 0.0399, 0.3870)
O (0.9155, 0.4144, 0.2500)
O (0.9601, 0.7525, 0.1130)
O (0.9601, 0.7525, 0.3870)